1.
Diffraction record for Ac3Tl2InPd6. The powder X-ray diffraction pattern is calculated, not measured: it uses a DFT-relaxed cell (PBE, Alexandria) and copper Kα.
Peak positions follow from Bragg's law for the DFT cell and can differ from measured ones.

Top 10 peaks for 2θ from 10° to 90°, sorted by position:
25.91°, I = 17, (0 1 2); 29.37°, I = 24, (0 0 3); 29.56°, I = 49, (1 1 0); 34.10°, I = 16, (0 1 3); 35.66°, I = 100, (1 1 2); 39.70°, I = 28, (2 0 2); 42.16°, I = 18, (1 1 3); 56.46°, I = 16, (0 3 2); 59.15°, I = 16, (1 1 5); 61.35°, I = 22, (2 2 0)

Structural model:
Lattice parameters (Å, degrees): 6.0443 6.0443 9.1229 90.00 90.00 120.00
Space group P-3m1 (No. 164)
One atom of each set of equivalent atoms:
Ac  0.0000  0.0000  0.0000 [1 per cell]
Ac  0.3333  0.6667  0.6204 [2 per cell]
Tl  0.3333  0.6667  0.0085 [2 per cell]
In  0.0000  0.0000  0.5000 [1 per cell]
Pd  0.1770  0.3540  0.2815 [6 per cell]


2.
Diffraction record for Rb2WI6N. The powder X-ray diffraction pattern is calculated, not measured: it uses a DFT-relaxed cell (PBE, Alexandria) and copper Kα.
Peak positions follow from Bragg's law for the DFT cell and can differ from measured ones.

Top 10 peaks for 2θ from 10° to 90°, sorted by position:
13.06°, I = 41, (1 1 1); 15.09°, I = 34, (2 0 0); 26.30°, I = 83, (2 2 2); 30.46°, I = 100, (4 0 0); 34.15°, I = 16, (4 2 0); 43.61°, I = 72, (4 4 0); 51.64°, I = 35, (6 2 2); 54.12°, I = 24, (4 4 4); 71.93°, I = 30, (8 4 0); 80.09°, I = 22, (8 4 4)

Structural model:
Lattice parameters (Å, degrees): 11.7403 11.7403 11.7403 90.00 90.00 90.00
Space group Fm-3m (No. 225)
One atom of each set of equivalent atoms:
Rb  0.2500  0.2500  0.2500 [8 per cell]
W  0.0000  0.0000  0.0000 [4 per cell]
I  0.0000  0.0000  0.2366 [24 per cell]
N  0.0000  0.0000  0.5000 [4 per cell]


3.
Diffraction record for SrCaPrSbO6. The powder X-ray diffraction pattern is calculated, not measured: it uses a DFT-relaxed cell (PBE, Alexandria) and copper Kα.
Peak positions follow from Bragg's law for the DFT cell and can differ from measured ones.

Top 10 peaks for 2θ from 10° to 90°, sorted by position:
20.66°, I = 14, (0 0 2); 21.22°, I = 23, (1 1 0); 29.79°, I = 100, (1 1 2); 30.18°, I = 61, (2 0 0); 42.04°, I = 19, (0 0 4); 43.21°, I = 29, (2 2 0); 52.62°, I = 25, (2 0 4); 53.36°, I = 48, (3 1 2); 61.86°, I = 19, (2 2 4); 86.28°, I = 14, (4 2 4)

Structural model:
Lattice parameters (Å, degrees): 5.9223 5.9223 8.5972 90.00 90.00 90.00
Space group P42_12 (No. 90)
One atom of each set of equivalent atoms:
Sr  0.0000  0.0000  0.0000 [2 per cell]
Ca  0.0000  0.0000  0.5000 [2 per cell]
Pr  0.0000  0.5000  0.2518 [2 per cell]
Sb  0.0000  0.5000  0.7450 [2 per cell]
O  0.0000  0.5000  0.5143 [2 per cell]
O  0.0000  0.5000  0.9799 [2 per cell]
O  0.1523  0.1958  0.7428 [8 per cell]


4.
Diffraction record for K2ZrNi2Se4. The powder X-ray diffraction pattern is calculated, not measured: it uses a DFT-relaxed cell (PBE, Alexandria) and copper Kα.
Peak positions follow from Bragg's law for the DFT cell and can differ from measured ones.

Top 10 peaks for 2θ from 10° to 90°, sorted by position:
11.71°, I = 100, (0 0 1); 29.63°, I = 18, (4 0 -2); 32.13°, I = 22, (4 0 1); 32.41°, I = 47, (1 1 -2); 34.86°, I = 32, (3 1 -2); 34.98°, I = 17, (3 1 1); 42.47°, I = 17, (3 1 -3); 42.63°, I = 27, (3 1 2); 47.19°, I = 21, (0 2 0); 52.38°, I = 20, (3 1 3)

Structural model:
Lattice parameters (Å, degrees): 14.1900 3.8518 7.9322 90.00 107.69 90.00
Space group C2/m (No. 12)
One atom of each set of equivalent atoms:
K  0.1342  0.0000  0.0582 [4 per cell]
Zr  0.0000  0.0000  0.5000 [2 per cell]
Ni  0.1786  0.5000  0.4906 [4 per cell]
Se  0.0187  0.5000  0.2671 [4 per cell]
Se  0.2006  0.0000  0.6734 [4 per cell]


5.
Diffraction record for BC3. The powder X-ray diffraction pattern is calculated, not measured: it uses a DFT-relaxed cell (PBE, Alexandria) and copper Kα.
Peak positions follow from Bragg's law for the DFT cell and can differ from measured ones.

Top 10 peaks for 2θ from 10° to 90°, sorted by position:
16.21°, I = 7, (2 0 0); 24.94°, I = 11, (1 1 0); 41.93°, I = 93, (3 1 -1); 43.40°, I = 100, (3 1 1); 72.01°, I = 38, (6 0 -2); 72.60°, I = 25, (0 2 2); 76.14°, I = 12, (6 0 2); 85.56°, I = 10, (3 3 -1); 87.40°, I = 9, (9 1 -1); 88.52°, I = 9, (3 1 -3)

Structural model:
Lattice parameters (Å, degrees): 10.9461 3.7770 3.5998 90.00 92.74 90.00
Space group C2 (No. 5)
One atom of each set of equivalent atoms:
B  0.0000  0.0000  0.0000 [2 per cell]
B  0.0850  0.3395  0.2437 [4 per cell]
C  0.0000  0.5709  0.5000 [2 per cell]
C  0.0896  0.8022  0.7375 [4 per cell]
C  0.1662  0.0438  0.4914 [4 per cell]
C  0.1708  0.5628  0.9872 [4 per cell]
C  0.2491  0.3080  0.7485 [4 per cell]


6.
Diffraction record for SbPd2S3. The powder X-ray diffraction pattern is calculated, not measured: it uses a DFT-relaxed cell (PBE, Alexandria) and copper Kα.
Peak positions follow from Bragg's law for the DFT cell and can differ from measured ones.

Top 10 peaks for 2θ from 10° to 90°, sorted by position:
13.72°, I = 12, (1 0 0); 18.05°, I = 14, (0 0 1); 23.87°, I = 10, (1 1 0); 27.63°, I = 10, (2 0 0); 30.09°, I = 14, (1 1 1); 33.20°, I = 100, (2 0 1); 46.44°, I = 30, (0 2 2); 48.87°, I = 33, (2 2 0); 60.36°, I = 17, (0 4 1); 81.24°, I = 14, (4 2 1)

Structural model:
Lattice parameters (Å, degrees): 7.4550 7.4550 4.9154 90.00 90.00 120.00
Space group P-3m1 (No. 164)
One atom of each set of equivalent atoms:
Sb  0.3333  0.6667  0.3940 [2 per cell]
Pd  0.0000  0.0000  0.0000 [1 per cell]
Pd  0.0000  0.5000  0.0000 [3 per cell]
S  0.1777  0.3555  0.7607 [6 per cell]


7.
Diffraction record for Cs8TiTe6. The powder X-ray diffraction pattern is calculated, not measured: it uses a DFT-relaxed cell (PBE, Alexandria) and copper Kα.
Peak positions follow from Bragg's law for the DFT cell and can differ from measured ones.

Top 10 peaks for 2θ from 10° to 90°, sorted by position:
20.00°, I = 38, (2 0 2); 24.49°, I = 31, (0 1 4); 25.00°, I = 42, (2 2 1); 25.40°, I = 39, (2 1 3); 26.91°, I = 100, (2 2 2); 28.20°, I = 61, (2 0 4); 28.74°, I = 39, (1 3 1); 29.24°, I = 36, (0 3 2); 31.18°, I = 31, (3 2 1); 33.21°, I = 36, (4 0 0)

Structural model:
Lattice parameters (Å, degrees): 10.7899 9.9550 15.6190 90.00 90.00 90.00
Space group Pmn2_1 (No. 31)
One atom of each set of equivalent atoms:
Cs  0.0000  0.0197  0.0759 [2 per cell]
Cs  0.0000  0.1343  0.6186 [2 per cell]
Cs  0.1971  0.4797  0.7648 [4 per cell]
Cs  0.2290  0.6711  0.5000 [4 per cell]
Cs  0.2347  0.9204  0.8211 [4 per cell]
Ti  0.0000  0.6354  0.1303 [2 per cell]
Te  0.0000  0.1931  0.8602 [2 per cell]
Te  0.0000  0.3773  0.1699 [2 per cell]
Te  0.0000  0.7666  0.6691 [2 per cell]
Te  0.0000  0.7740  0.2755 [2 per cell]
Te  0.1986  0.6979  0.0392 [4 per cell]